Entry 1:
The following is a computed XRD peak list of Pm4TlHg5. It was derived from a GGA-PBE-relaxed structure, using λ = 1.5418 Å (Cu Kα).

```
data_Pm4TlHg5
_symmetry_space_group_name_H-M 'P 4/m m m'
_symmetry_Int_Tables_number 123
_symmetry_space_group_name_Hall '-P 4 2'
_cell_length_a 3.8692
_cell_length_b 3.8692
_cell_length_c 18.3334
_cell_angle_alpha 90.00
_cell_angle_beta 90.00
_cell_angle_gamma 90.00
loop_
_atom_site_label
_atom_site_type_symbol
_atom_site_fract_x
_atom_site_fract_y
_atom_site_fract_z
_atom_site_occupancy
Pm1 Pm 0.0000 0.0000 0.1016 1
Pm2 Pm 0.0000 0.0000 0.3062 1
Tl1 Tl 0.0000 0.0000 0.5000 1
Hg1 Hg 0.5000 0.5000 0.0000 1
Hg2 Hg 0.5000 0.5000 0.2021 1
Hg3 Hg 0.5000 0.5000 0.4008 1
```

Principal peaks in the range 2θ = 15–90°, by angle:
(1 1 0), 2θ 32.73, intensity 54
(1 0 5), 2θ 33.68, intensity 100
(2 0 0), 2θ 46.97, intensity 20
(2 1 5), 2θ 59.03, intensity 41
(1 1 10), 2θ 60.82, intensity 18
(2 0 10), 2θ 70.81, intensity 12

***

Entry 2:
The following is a computed XRD peak list of K3BiAu3. It was derived from a GGA-PBE-relaxed structure, using λ = 1.5418 Å (Cu Kα).

```
data_K3BiAu3
_symmetry_space_group_name_H-M 'C m c m'
_symmetry_Int_Tables_number 63
_symmetry_space_group_name_Hall '-C 2c 2'
_cell_length_a 4.6385
_cell_length_b 12.2583
_cell_length_c 15.9327
_cell_angle_alpha 90.00
_cell_angle_beta 90.00
_cell_angle_gamma 90.00
loop_
_atom_site_label
_atom_site_type_symbol
_atom_site_fract_x
_atom_site_fract_y
_atom_site_fract_z
_atom_site_occupancy
K1 K 0.0000 0.0033 0.2500 1
K2 K 0.0000 0.2883 0.6011 1
Bi1 Bi 0.0000 0.0000 0.0000 1
Au1 Au 0.0000 0.3033 0.2500 1
Au2 Au 0.0000 0.4200 0.0981 1
```

Principal peaks in the range 2θ = 15–90°, by angle:
(0 2 1), 2θ 15.49, intensity 51
(0 2 2), 2θ 18.26, intensity 56
(1 1 1), 2θ 21.23, intensity 37
(1 1 4), 2θ 30.47, intensity 55
(0 4 3), 2θ 33.76, intensity 100
(1 1 6), 2θ 39.80, intensity 36